# 1
Computed XRD peak list
Compound: NaAsO3
Radiation: Cu Kα (weighted mean of Kα1 and Kα2)
Structure: the PBE geometry in the Materials Project
Peak positions follow from Bragg's law for the DFT cell and can differ from measured ones.

Structural model:
Cell lengths 7.4572, 7.6152, 8.2612 Å; angles 103.79, 92.64, 90.32 degrees
Space group P-1 (No. 2)
Inequivalent atoms, fractional coordinates:
Na  0.0176  0.2464  0.4884 (multiplicity 2)
Na  0.2441  0.9248  0.2032 (multiplicity 2)
Na  0.2529  0.4422  0.2216 (multiplicity 2)
As  0.2222  0.5470  0.8287 (multiplicity 2)
As  0.2268  0.1218  0.8261 (multiplicity 2)
As  0.4491  0.7790  0.6137 (multiplicity 2)
O  0.0473  0.5436  0.6928 (multiplicity 2)
O  0.0495  0.0547  0.6922 (multiplicity 2)
O  0.2056  0.6333  0.0331 (multiplicity 2)
O  0.2159  0.1338  0.0292 (multiplicity 2)
O  0.2980  0.7326  0.4530 (multiplicity 2)
O  0.3206  0.3287  0.7970 (multiplicity 2)
O  0.3285  0.2296  0.4039 (multiplicity 2)
O  0.4195  0.6418  0.7619 (multiplicity 2)
O  0.4251  0.0008  0.7477 (multiplicity 2)

Principal peaks in the range 10 to 90 degrees two-theta, most intense first:
d [Å]  I_rel  index
5.328  100  1 0 1
3.332  83  1 -2 0
3.113  64  0 2 -2
3.088  62  0 2 1
3.316  33  2 0 1
3.442  33  2 0 -1
4.163  26  -1 1 1
1.904  25  0 4 -1
4.007  24  0 0 2
3.724  23  2 0 0

# 2
Computed XRD peak list
Compound: NaAs2O6
Radiation: Cu Kα (weighted mean of Kα1 and Kα2)
Structure: the PBE geometry in the Materials Project
Peak positions follow from Bragg's law for the DFT cell and can differ from measured ones.

Structural model:
Cell lengths 5.6489, 9.3906, 9.1069 Å; angles 90.00, 100.49, 90.00 degrees
Space group P2_1/c (No. 14)
Inequivalent atoms, fractional coordinates:
Na  0.1028  0.1900  0.4833 (multiplicity 4)
As  0.3156  0.5861  0.7628 (multiplicity 4)
As  0.3668  0.6041  0.4153 (multiplicity 4)
O  0.0736  0.6444  0.3154 (multiplicity 4)
O  0.0765  0.5312  0.8404 (multiplicity 4)
O  0.2432  0.6701  0.5918 (multiplicity 4)
O  0.3303  0.0835  0.9679 (multiplicity 4)
O  0.4750  0.7052  0.8932 (multiplicity 4)
O  0.4805  0.5523  0.2374 (multiplicity 4)

Principal peaks in the range 10 to 90 degrees two-theta, most intense first:
d [Å]  I_rel  index
2.729  100  1 3 0
4.781  89  1 1 0
6.481  78  0 1 1
3.967  73  1 1 1
5.554  59  1 0 0
3.558  41  1 1 -2
3.208  30  1 0 2
4.041  29  0 1 2
2.519  29  0 2 3
3.473  25  1 2 -1

# 3
Computed XRD peak list
Compound: Na2AsO8
Radiation: Cu Kα (weighted mean of Kα1 and Kα2)
Structure: the PBE geometry in the Materials Project
Peak positions follow from Bragg's law for the DFT cell and can differ from measured ones.

Structural model:
Cell lengths 7.0647, 17.7691, 5.7561 Å; angles 90.00, 90.00, 90.00 degrees
Space group P2_12_12 (No. 18)
Inequivalent atoms, fractional coordinates:
Na  0.1111  0.2104  0.4050 (multiplicity 4)
Na  0.1950  0.9623  0.7050 (multiplicity 4)
As  0.2180  0.6334  0.1573 (multiplicity 4)
O  0.0000  0.0000  0.3057 (multiplicity 2)
O  0.0000  0.5000  0.0595 (multiplicity 2)
O  0.0073  0.5663  0.2146 (multiplicity 4)
O  0.0948  0.0923  0.7047 (multiplicity 4)
O  0.1338  0.7070  0.3127 (multiplicity 4)
O  0.1582  0.9975  0.1905 (multiplicity 4)
O  0.1918  0.3538  0.7366 (multiplicity 4)
O  0.2362  0.6415  0.8671 (multiplicity 4)
O  0.2495  0.8417  0.0651 (multiplicity 4)

Principal peaks in the range 10 to 90 degrees two-theta, most intense first:
d [Å]  I_rel  index
5.530  100  1 2 0
4.328  89  1 1 1
5.476  50  0 1 1
2.780  45  1 5 1
4.452  42  0 4 0
2.765  34  2 4 0
3.532  32  2 0 0
3.517  27  0 4 1
2.492  24  2 4 1
2.635  23  1 1 2

# 4
Computed XRD peak list
Compound: Na5As2O18
Radiation: Cu Kα (weighted mean of Kα1 and Kα2)
Structure: the PBE geometry in the Materials Project
Peak positions follow from Bragg's law for the DFT cell and can differ from measured ones.

Structural model:
Cell lengths 7.2805, 7.4390, 15.2907 Å; angles 90.00, 104.54, 90.00 degrees
Space group P2/c (No. 13)
Inequivalent atoms, fractional coordinates:
Na  0.0000  0.0000  0.0000 (multiplicity 2)
Na  0.1960  0.0341  0.2260 (multiplicity 4)
Na  0.3515  0.3445  0.9092 (multiplicity 4)
As  0.4125  0.3280  0.1392 (multiplicity 4)
O  0.0000  0.3725  0.2500 (multiplicity 2)
O  0.0022  0.4364  0.5257 (multiplicity 4)
O  0.0380  0.4572  0.7986 (multiplicity 4)
O  0.1023  0.1013  0.8495 (multiplicity 4)
O  0.2355  0.1795  0.0939 (multiplicity 4)
O  0.3377  0.4590  0.6525 (multiplicity 4)
O  0.4060  0.3396  0.4123 (multiplicity 4)
O  0.4293  0.0123  0.9684 (multiplicity 4)
O  0.4877  0.1751  0.7888 (multiplicity 4)
O  0.5000  0.2189  0.2500 (multiplicity 2)

Principal peaks in the range 10 to 90 degrees two-theta, most intense first:
d [Å]  I_rel  index
5.132  100  1 1 -1
3.292  63  1 2 0
7.047  59  1 0 0
6.647  46  0 1 1
3.267  36  1 1 3
2.982  31  1 0 4
2.601  28  2 2 -1
7.423  25  0 1 0
2.313  24  2 0 -6
2.768  23  1 1 4

# 5
Computed XRD peak list
Compound: Na5AsO5
Radiation: Cu Kα (weighted mean of Kα1 and Kα2)
Structure: the PBE geometry in the Materials Project
Peak positions follow from Bragg's law for the DFT cell and can differ from measured ones.

Structural model:
Cell lengths 6.0370, 16.6269, 6.5043 Å; angles 90.00, 90.00, 90.00 degrees
Space group Pbcm (No. 57)
Inequivalent atoms, fractional coordinates:
Na  0.0585  0.0893  0.2500 (multiplicity 4)
Na  0.0759  0.7500  0.0000 (multiplicity 4)
Na  0.3661  0.5854  0.0058 (multiplicity 8)
Na  0.4133  0.2301  0.2500 (multiplicity 4)
As  0.1934  0.0959  0.7500 (multiplicity 4)
O  0.0730  0.5582  0.7500 (multiplicity 4)
O  0.2443  0.1550  0.5353 (multiplicity 8)
O  0.2437  0.6759  0.2500 (multiplicity 4)
O  0.3893  0.0201  0.7500 (multiplicity 4)

Principal peaks in the range 10 to 90 degrees two-theta, most intense first:
d [Å]  I_rel  index
4.276  100  1 1 1
2.652  72  2 3 0
2.358  44  1 4 2
5.123  44  0 2 1
2.544  43  1 3 2
3.503  42  0 4 1
2.707  38  1 2 2
1.828  36  1 7 2
5.674  35  1 1 0
2.771  32  0 6 0

# 6
Computed XRD peak list
Compound: NaAsO3
Radiation: Cu Kα (weighted mean of Kα1 and Kα2)
Structure: the PBE geometry in the Materials Project
Peak positions follow from Bragg's law for the DFT cell and can differ from measured ones.

Structural model:
Cell lengths 3.7192, 3.7192, 3.7192 Å; angles 90.00, 90.00, 90.00 degrees
Space group Pm-3m (No. 221)
Inequivalent atoms, fractional coordinates:
Na  0.0000  0.0000  0.0000 (multiplicity 1)
As  0.5000  0.5000  0.5000 (multiplicity 1)
O  0.0000  0.5000  0.5000 (multiplicity 3)

Principal peaks in the range 10 to 90 degrees two-theta, most intense first:
d [Å]  I_rel  index
2.630  100  1 1 0
3.719  87  1 0 0
1.860  52  2 0 0
1.518  38  2 1 1
1.663  31  2 1 0
1.315  28  2 2 0
1.176  16  3 1 0
1.240  14  3 0 0
1.121  1  3 1 1